# 1
Starting from a crystal structure in Alexandria, relaxed with GGA-PBE, the PXRD pattern of Tl2NiH was simulated for Cu Kα.

The 10 most intense peaks (10 to 80 degrees two-theta), sorted by position:
Position (°2θ)  I_rel
23.52  5
27.22  64
38.88  100
45.94  2
48.11  19
56.16  17
61.71  1
63.50  26
70.40  35
75.38  1

Crystal structure
Cell: 4.633 4.633 4.633 Å, 60.00 60.00 60.00°
Atoms (fractional coordinates):
Tl: 0.250 0.250 0.250
Tl: 0.750 0.750 0.750
Ni: 0.000 0.000 0.000
H: 0.500 0.500 0.500

=====

# 2
Starting from a crystal structure in Alexandria, relaxed with GGA-PBE, the PXRD pattern of CoCuS4 was simulated for Cu Kα.

The 10 most intense peaks (10 to 80 degrees two-theta), sorted by position:
Position (°2θ)  I_rel
27.02  60
30.62  94
31.07  74
32.54  53
35.71  100
45.31  45
52.73  35
53.07  38
54.66  42
54.99  35

Crystal structure
Cell: 6.994 6.994 5.503 Å, 112.63 112.63 49.35°
Atoms (fractional coordinates):
Co: 0.000 0.500 0.000
Co: 0.500 0.000 0.500
Cu: 0.188 0.812 0.750
Cu: 0.812 0.188 0.250
S: 0.070 0.337 0.569
S: 0.244 0.624 0.055
S: 0.337 0.070 0.069
S: 0.376 0.756 0.445
S: 0.624 0.244 0.555
S: 0.663 0.930 0.931
S: 0.756 0.376 0.945
S: 0.930 0.663 0.431

=====

# 3
Starting from a crystal structure in Alexandria, relaxed with GGA-PBE, the PXRD pattern of Ac2Cd2In3 was simulated for Cu Kα.

The 10 most intense peaks (10 to 80 degrees two-theta), sorted by position:
Position (°2θ)  I_rel
27.45  19
29.17  79
29.80  100
33.53  19
36.18  38
38.06  34
48.33  22
53.52  26
61.18  13
65.68  16

Crystal structure
Cell: 10.974 10.974 7.909 Å, 90.00 90.00 153.85°
Atoms (fractional coordinates):
Ac: 0.050 0.950 0.750
Ac: 0.159 0.841 0.250
Ac: 0.841 0.159 0.750
Ac: 0.950 0.050 0.250
Cd: 0.314 0.686 0.060
Cd: 0.314 0.686 0.440
Cd: 0.686 0.314 0.560
Cd: 0.686 0.314 0.940
In: 0.223 0.777 0.750
In: 0.439 0.561 0.570
In: 0.439 0.561 0.930
In: 0.561 0.439 0.070
In: 0.561 0.439 0.430
In: 0.777 0.223 0.250

=====

# 4
Starting from a crystal structure in Alexandria, relaxed with GGA-PBE, the PXRD pattern of Sm2In3Cu was simulated for Cu Kα.

The 10 most intense peaks (10 to 80 degrees two-theta), sorted by position:
Position (°2θ)  I_rel
24.47  12
31.92  100
37.62  73
41.72  17
50.15  28
57.42  6
62.32  12
64.35  26
67.90  12
70.70  7

Crystal structure
Cell: 4.782 4.782 7.619 Å, 90.00 90.00 120.00°
Atoms (fractional coordinates):
Sm: 0.000 0.000 0.000
Sm: 0.000 0.000 0.462
In: 0.333 0.667 0.674
In: 0.667 0.333 0.220
In: 0.667 0.333 0.786
Cu: 0.333 0.667 0.281

=====

# 5
Starting from a crystal structure in Alexandria, relaxed with GGA-PBE, the PXRD pattern of RbTiI4 was simulated for Cu Kα.

The 10 most intense peaks (10 to 80 degrees two-theta), sorted by position:
Position (°2θ)  I_rel
12.97  66
22.48  100
23.06  95
28.16  49
28.63  51
29.21  21
39.61  25
41.41  19
44.60  20
49.97  22

Crystal structure
Cell: 9.172 9.415 9.907 Å, 90.00 90.00 90.00°
Atoms (fractional coordinates):
Rb: 0.000 0.000 0.000
Rb: 0.500 0.000 0.500
Ti: 0.000 0.000 0.500
Ti: 0.000 0.500 0.000
I: 0.177 0.340 0.142
I: 0.177 0.660 0.858
I: 0.179 0.148 0.662
I: 0.179 0.852 0.338
I: 0.821 0.148 0.338
I: 0.821 0.852 0.662
I: 0.823 0.340 0.858
I: 0.823 0.660 0.142

=====

# 6
Starting from a crystal structure in Alexandria, relaxed with GGA-PBE, the PXRD pattern of Ca2AcCd2 was simulated for Cu Kα.

The 10 most intense peaks (10 to 80 degrees two-theta), sorted by position:
Position (°2θ)  I_rel
12.08  36
16.53  14
27.71  16
30.50  21
31.03  29
31.56  100
39.23  11
44.06  16
55.54  22
56.86  11

Crystal structure
Cell: 3.916 5.764 14.788 Å, 90.00 97.66 90.00°
Atoms (fractional coordinates):
Ca: 0.046 0.250 0.092
Ca: 0.230 0.250 0.460
Ca: 0.770 0.750 0.540
Ca: 0.954 0.750 0.908
Ac: 0.144 0.750 0.285
Ac: 0.856 0.250 0.715
Cd: 0.361 0.750 0.724
Cd: 0.454 0.250 0.909
Cd: 0.546 0.750 0.091
Cd: 0.639 0.250 0.276

=====

# 7
Starting from a crystal structure in Alexandria, relaxed with GGA-PBE, the PXRD pattern of Ac6Ru2PtCl2 was simulated for Cu Kα.

The 10 most intense peaks (10 to 80 degrees two-theta), sorted by position:
Position (°2θ)  I_rel
11.43  62
24.80  47
28.05  50
28.28  100
36.13  21
39.12  31
41.36  39
41.58  19
49.43  16
50.91  19

Crystal structure
Cell: 7.536 7.536 8.156 Å, 99.13 99.13 119.67°
Atoms (fractional coordinates):
Ac: 0.084 0.429 0.791
Ac: 0.225 0.225 0.204
Ac: 0.429 0.084 0.791
Ac: 0.571 0.916 0.209
Ac: 0.775 0.775 0.796
Ac: 0.916 0.571 0.209
Ru: 0.171 0.829 0.000
Ru: 0.829 0.171 0.000
Pt: 0.500 0.500 0.000
Cl: 0.331 0.669 0.500
Cl: 0.669 0.331 0.500

=====

# 8
Starting from a crystal structure in Alexandria, relaxed with GGA-PBE, the PXRD pattern of LaTaH2Cl was simulated for Cu Kα.

The 10 most intense peaks (10 to 80 degrees two-theta), sorted by position:
Position (°2θ)  I_rel
29.23  100
32.11  61
37.18  21
46.05  23
49.93  35
55.48  35
60.61  20
62.22  12
76.41  10
79.35  9

Crystal structure
Cell: 3.942 3.942 4.836 Å, 90.00 90.00 90.00°
Atoms (fractional coordinates):
La: 0.000 0.000 0.000
Ta: 0.500 0.500 0.500
H: 0.000 0.500 0.500
H: 0.500 0.000 0.500
Cl: 0.500 0.500 0.000

=====

# 9
Starting from a crystal structure in Alexandria, relaxed with GGA-PBE, the PXRD pattern of Pr5ZnSi2 was simulated for Cu Kα.

The 10 most intense peaks (10 to 80 degrees two-theta), sorted by position:
Position (°2θ)  I_rel
26.24  46
29.11  30
31.42  100
32.45  27
33.42  79
36.40  49
48.49  20
50.56  22
51.74  29
55.84  29

Crystal structure
Cell: 9.217 9.217 9.217 Å, 129.90 129.90 73.56°
Atoms (fractional coordinates):
Pr: 0.000 0.000 0.000
Pr: 0.036 0.536 0.856
Pr: 0.180 0.036 0.500
Pr: 0.320 0.820 0.856
Pr: 0.464 0.320 0.500
Pr: 0.500 0.500 0.000
Pr: 0.536 0.680 0.500
Pr: 0.680 0.180 0.144
Pr: 0.820 0.964 0.500
Pr: 0.964 0.464 0.144
Zn: 0.250 0.250 0.000
Zn: 0.750 0.750 0.000
Si: 0.113 0.387 0.500
Si: 0.387 0.887 0.274
Si: 0.613 0.113 0.726
Si: 0.887 0.613 0.500

=====

# 10
Starting from a crystal structure in Alexandria, relaxed with GGA-PBE, the PXRD pattern of Ba14Tl6Rh3 was simulated for Cu Kα.

The 10 most intense peaks (10 to 80 degrees two-theta), sorted by position:
Position (°2θ)  I_rel
13.92  51
25.09  42
27.87  100
28.05  69
29.54  43
31.79  30
39.13  22
44.96  32
51.15  35
66.72  18

Crystal structure
Cell: 12.097 12.097 8.006 Å, 90.00 90.00 120.00°
Atoms (fractional coordinates):
Ba: 0.000 0.000 0.000
Ba: 0.098 0.549 0.338
Ba: 0.217 0.433 0.873
Ba: 0.217 0.783 0.873
Ba: 0.266 0.133 0.579
Ba: 0.403 0.202 0.075
Ba: 0.451 0.549 0.338
Ba: 0.451 0.902 0.338
Ba: 0.567 0.783 0.873
Ba: 0.667 0.333 0.491
Ba: 0.798 0.202 0.075
Ba: 0.798 0.597 0.075
Ba: 0.867 0.133 0.579
Ba: 0.867 0.734 0.579
Tl: 0.130 0.260 0.283
Tl: 0.130 0.870 0.283
Tl: 0.535 0.071 0.776
Tl: 0.535 0.465 0.776
Tl: 0.740 0.870 0.283
Tl: 0.929 0.465 0.776
Rh: 0.000 0.000 0.368
Rh: 0.333 0.667 0.102
Rh: 0.667 0.333 0.854

=====

# 11
Starting from a crystal structure in Alexandria, relaxed with GGA-PBE, the PXRD pattern of Bi4Cl3O4 was simulated for Cu Kα.

The 10 most intense peaks (10 to 80 degrees two-theta), sorted by position:
Position (°2θ)  I_rel
21.32  29
22.90  100
27.43  19
32.18  49
32.79  76
33.48  18
38.53  22
46.02  45
51.06  34
58.27  17

Crystal structure
Cell: 8.580 8.580 8.580 Å, 156.68 114.01 71.03°
Atoms (fractional coordinates):
Bi: 0.195 0.195 0.000
Bi: 0.263 0.500 0.763
Bi: 0.737 0.500 0.237
Bi: 0.805 0.805 0.000
Cl: 0.000 0.000 0.000
Cl: 0.378 0.878 0.500
Cl: 0.622 0.122 0.500
O: 0.011 0.357 0.654
O: 0.297 0.643 0.654
O: 0.703 0.357 0.346
O: 0.989 0.643 0.346

=====

What did the eleventh record say?
Starting from a crystal structure in Alexandria, relaxed with GGA-PBE, the PXRD pattern of Bi4Cl3O4 was simulated for Cu Kα.

The 10 most intense peaks (10 to 80 degrees two-theta), sorted by position:
Position (°2θ)  I_rel
21.32  29
22.90  100
27.43  19
32.18  49
32.79  76
33.48  18
38.53  22
46.02  45
51.06  34
58.27  17

Crystal structure
Cell: 8.580 8.580 8.580 Å, 156.68 114.01 71.03°
Atoms (fractional coordinates):
Bi: 0.195 0.195 0.000
Bi: 0.263 0.500 0.763
Bi: 0.737 0.500 0.237
Bi: 0.805 0.805 0.000
Cl: 0.000 0.000 0.000
Cl: 0.378 0.878 0.500
Cl: 0.622 0.122 0.500
O: 0.011 0.357 0.654
O: 0.297 0.643 0.654
O: 0.703 0.357 0.346
O: 0.989 0.643 0.346